Starting from a cell relaxed with GGA-PBE, the powder diffractogram of ZnTeO3 was computed for copper Kα.
Intensities are scaled so that the largest is 1000.

Most intense lines, 2θ from 10° to 90°, sorted by position:
2theta, I (rel.)
23.57, 864
27.37, 645
28.19, 904
28.32, 603
28.59, 1000
28.73, 715

Structure:
```
data_ZnTeO3
_chemical_formula_sum 'Zn8 Te8 O24'
_cell_length_a 6.4524
_cell_length_b 12.4293
_cell_length_c 7.5497
_cell_angle_alpha 90.00
_cell_angle_beta 90.00
_cell_angle_gamma 90.00
_space_group_name_H-M_alt 'P b c a'
_space_group_IT_number 61
loop_
_space_group_symop_operation_xyz
'x,y,z'
'-x,-y,-z'
'-x+1/2,-y,z+1/2'
'x+1/2,y,-z+1/2'
'x+1/2,-y+1/2,-z'
'-x+1/2,y+1/2,z'
'-x,y+1/2,-z+1/2'
'x,-y+1/2,z+1/2'
loop_
_atom_site_label
_atom_site_fract_x
_atom_site_fract_y
_atom_site_fract_z
Zn1 0.1212 0.0900 0.1092
Te1 0.0922 0.1440 0.5582
O1 0.0252 0.5889 0.1578
O2 0.1536 0.5660 0.5392
O3 0.2004 0.2234 0.9718
```